This entry pairs a crystal structure of Li4CuP2O8 with its calculated PXRD pattern. Radiation: copper Kα. Structure: a DFT-relaxed cell (GGA-PBE, the Materials Project).
Intensities are scaled so that the largest is 1000.

Largest 10 diffraction maxima, by angle, 5 to 70 degrees two-theta:
h k l  2θ (°)  d/Å  Rel. int.
1 0 0  11.15  7.935  377
0 1 1  14.16  6.255  473
1 1 -1  15.94  5.560  468
0 2 1  20.52  4.328  370
1 2 -1  21.81  4.074  997
0 0 2  22.68  3.921  1000
2 1 0  24.01  3.706  552
2 2 -2  32.20  2.780  590
0 4 0  34.59  2.593  657
2 0 2  36.48  2.463  655

Structure:
```
data_Li4CuP2O8
_chemical_formula_sum 'Li16 Cu4 P8 O32'
_cell_length_a 8.2730
_cell_length_b 10.3723
_cell_length_c 8.1753
_cell_angle_alpha 90.00
_cell_angle_beta 106.42
_cell_angle_gamma 90.00
_space_group_name_H-M_alt 'P 1 21/c 1'
_space_group_IT_number 14
_space_group_name_Hall '-P 2ybc'
loop_
_atom_site_label
_atom_site_type_symbol
_atom_site_fract_x
_atom_site_fract_y
_atom_site_fract_z
Li1 Li 0.0175 0.0742 0.2691
Li2 Li 0.0959 0.1640 0.5952
Li3 Li 0.1675 0.6645 0.6699
Li4 Li 0.3538 0.1481 0.3528
Cu1 Cu 0.4139 0.6433 0.4267
P1 P 0.2020 0.0944 0.9726
P2 P 0.2735 0.5904 0.0459
O1 O 0.0537 0.1065 0.8080
O2 O 0.1245 0.6539 0.0972
O3 O 0.1574 0.1497 0.1298
O4 O 0.2233 0.0478 0.4789
O5 O 0.2427 0.5529 0.5024
O6 O 0.3187 0.6714 0.9046
O7 O 0.3543 0.1715 0.9443
O8 O 0.4355 0.5900 0.2023
```